GaMoPb: theoretical XRD peak list (Cu Kα (λ = 1.5418 Å)), based on a GGA-PBE-relaxed structure.
Lines closer than 0.1° are merged.

The 6 most intense peaks (2θ from 15° to 90°), by intensity:
(hkl), 2θ (°), Rel. int.
2 2 0, 37.59, 100
1 1 1, 22.76, 71
3 1 1, 44.40, 38
4 2 2, 67.84, 35
4 0 0, 54.22, 17
3 3 1, 59.54, 16

Atomic structure:
```
data_GaMoPb
_symmetry_space_group_name_H-M 'F -4 3 m'
_symmetry_Int_Tables_number 216
_symmetry_space_group_name_Hall 'F -4 2 3'
_cell_length_a 6.7675
_cell_length_b 6.7675
_cell_length_c 6.7675
_cell_angle_alpha 90.00
_cell_angle_beta 90.00
_cell_angle_gamma 90.00
loop_
_atom_site_label
_atom_site_type_symbol
_atom_site_fract_x
_atom_site_fract_y
_atom_site_fract_z
Ga1 Ga 0.0000 0.0000 0.0000
Mo1 Mo 0.0000 0.0000 0.5000
Pb1 Pb 0.2500 0.2500 0.2500
```